(1)
Structure and theoretical powder diffractogram of BeSnW2 (the GGA-PBE geometry in OQMD; a wavelength of 1.5418 Å).
Peak positions follow from Bragg's law for the DFT cell and can differ from measured ones.

Top 8 peaks for 5° ≤ 2θ ≤ 70°, by angle:
two_theta  d/Å  I (rel.)
24.40  3.647  35
28.25  3.159  7
40.38  2.234  100
47.75  1.905  18
50.01  1.824  2
58.43  1.579  17
64.27  1.449  7
66.15  1.413  3

Cell and atoms:
a b c (Å): 6.3176 6.3176 6.3176
angles (deg): 90.00 90.00 90.00
Fractional positions:
Be 0.0000 0.0000 0.0000
Be 0.0000 0.5000 0.5000
Be 0.5000 0.0000 0.5000
Be 0.5000 0.5000 0.0000
Sn 0.2500 0.2500 0.7500
Sn 0.2500 0.7500 0.2500
Sn 0.7500 0.2500 0.2500
Sn 0.7500 0.7500 0.7500
W 0.0000 0.0000 0.5000
W 0.0000 0.5000 0.0000
W 0.2500 0.2500 0.2500
W 0.2500 0.7500 0.7500
W 0.5000 0.0000 0.0000
W 0.5000 0.5000 0.5000
W 0.7500 0.2500 0.7500
W 0.7500 0.7500 0.2500

---

(2)
Structure and theoretical powder diffractogram of Dy4GaCo2Ge4 (the GGA-PBE geometry in OQMD; a wavelength of 1.5418 Å).
Peak positions follow from Bragg's law for the DFT cell and can differ from measured ones.

Top 8 peaks for 5° ≤ 2θ ≤ 70°, by angle:
two_theta  d/Å  I (rel.)
27.95  3.192  22
33.45  2.679  78
35.13  2.554  100
35.30  2.542  29
36.49  2.462  100
37.40  2.405  36
40.99  2.202  24
42.82  2.112  54

Cell and atoms:
a b c (Å): 7.9364 7.9364 6.9110
angles (deg): 106.48 106.48 30.87
Fractional positions:
Dy 0.0898 0.0898 0.3866
Dy 0.1515 0.1515 0.9415
Dy 0.8485 0.8485 0.0585
Dy 0.9102 0.9102 0.6134
Ga 0.5000 0.5000 0.0000
Co 0.2813 0.2813 0.3606
Co 0.7187 0.7187 0.6394
Ge 0.2935 0.2935 0.7251
Ge 0.4349 0.4349 0.3349
Ge 0.5651 0.5651 0.6651
Ge 0.7065 0.7065 0.2749

---

(3)
Structure and theoretical powder diffractogram of Zr2As5 (the GGA-PBE geometry in OQMD; a wavelength of 1.5418 Å).
Peak positions follow from Bragg's law for the DFT cell and can differ from measured ones.

Top 8 peaks for 5° ≤ 2θ ≤ 70°, by angle:
two_theta  d/Å  I (rel.)
30.92  2.892  35
35.76  2.511  100
39.39  2.287  21
39.57  2.277  48
41.28  2.187  23
42.11  2.146  20
48.77  1.867  52
58.87  1.569  22

Cell and atoms:
a b c (Å): 20.3310 20.3310 3.7374
angles (deg): 90.00 90.00 169.47
Fractional positions:
Zr 0.1003 0.8997 0.7500
Zr 0.3046 0.6954 0.7500
Zr 0.6954 0.3046 0.2500
Zr 0.8997 0.1003 0.2500
As 0.0438 0.9562 0.2500
As 0.1713 0.8287 0.7500
As 0.2500 0.7500 0.2500
As 0.3762 0.6238 0.7500
As 0.4558 0.5442 0.2500
As 0.5442 0.4558 0.7500
As 0.6238 0.3762 0.2500
As 0.7500 0.2500 0.7500
As 0.8287 0.1713 0.2500
As 0.9562 0.0438 0.7500

---

(4)
Structure and theoretical powder diffractogram of Li5Cu9 (the GGA-PBE geometry in OQMD; a wavelength of 1.5418 Å).
Peak positions follow from Bragg's law for the DFT cell and can differ from measured ones.

Top 8 peaks for 5° ≤ 2θ ≤ 70°, by angle:
two_theta  d/Å  I (rel.)
18.49  4.798  79
21.64  4.106  93
22.30  3.986  99
24.77  3.594  90
42.17  2.143  100
44.11  2.053  83
49.20  1.852  76
50.81  1.797  87

Cell and atoms:
a b c (Å): 9.9859 9.9859 9.9859
angles (deg): 27.75 27.75 27.75
Fractional positions:
Li 0.0000 0.0000 0.0000
Li 0.1810 0.1810 0.1810
Li 0.2768 0.2768 0.2768
Li 0.7232 0.7232 0.7232
Li 0.8190 0.8190 0.8190
Cu 0.2327 0.7380 0.7380
Cu 0.2620 0.2620 0.7673
Cu 0.2620 0.7673 0.2620
Cu 0.3594 0.3594 0.3594
Cu 0.5000 0.5000 0.5000
Cu 0.6406 0.6406 0.6406
Cu 0.7380 0.2327 0.7380
Cu 0.7380 0.7380 0.2327
Cu 0.7673 0.2620 0.2620

---

(5)
Structure and theoretical powder diffractogram of CsPm2CuTeS3 (the GGA-PBE geometry in OQMD; a wavelength of 1.5418 Å).
Peak positions follow from Bragg's law for the DFT cell and can differ from measured ones.

Top 8 peaks for 5° ≤ 2θ ≤ 70°, by angle:
two_theta  d/Å  I (rel.)
21.99  4.042  40
24.25  3.670  28
24.51  3.632  34
28.66  3.115  52
30.61  2.920  100
38.14  2.360  27
42.07  2.148  28
50.21  1.817  25

Cell and atoms:
a b c (Å): 7.6349 7.6349 14.5295
angles (deg): 90.00 90.00 148.03
Fractional positions:
Cs 0.1298 0.8702 0.7500
Cs 0.8702 0.1298 0.2500
Pm 0.3669 0.6331 0.5498
Pm 0.3669 0.6331 0.9502
Pm 0.6331 0.3669 0.0498
Pm 0.6331 0.3669 0.4502
Cu 0.1677 0.8323 0.2500
Cu 0.8323 0.1677 0.7500
Te 0.4354 0.5646 0.7500
Te 0.5646 0.4354 0.2500
S 0.0000 0.0000 0.0000
S 0.0000 0.0000 0.5000
S 0.2483 0.7517 0.1053
S 0.2483 0.7517 0.3947
S 0.7517 0.2483 0.6053
S 0.7517 0.2483 0.8947

---

(6)
Structure and theoretical powder diffractogram of SmGdAlIr2 (the GGA-PBE geometry in OQMD; a wavelength of 1.5418 Å).
Peak positions follow from Bragg's law for the DFT cell and can differ from measured ones.

Top 8 peaks for 5° ≤ 2θ ≤ 70°, by angle:
two_theta  d/Å  I (rel.)
23.85  3.731  45
26.37  3.380  37
33.62  2.666  50
36.98  2.431  81
37.99  2.368  78
39.03  2.308  100
58.63  1.575  43
66.60  1.404  42

Cell and atoms:
a b c (Å): 4.1336 5.8733 8.6686
angles (deg): 90.00 90.00 90.00
Fractional positions:
Sm 0.0000 0.0000 0.0000
Sm 0.5000 0.5000 0.5000
Gd 0.0000 0.0000 0.3965
Gd 0.5000 0.5000 0.8965
Al 0.0000 0.5000 0.1983
Al 0.5000 0.0000 0.6983
Ir 0.0000 0.2584 0.6983
Ir 0.0000 0.7416 0.6983
Ir 0.5000 0.2416 0.1983
Ir 0.5000 0.7584 0.1983

---

(7)
Structure and theoretical powder diffractogram of DyHo2Ga5 (the GGA-PBE geometry in OQMD; a wavelength of 1.5418 Å).
Peak positions follow from Bragg's law for the DFT cell and can differ from measured ones.

Top 8 peaks for 5° ≤ 2θ ≤ 70°, by angle:
two_theta  d/Å  I (rel.)
30.16  2.963  14
36.13  2.486  100
36.86  2.439  17
37.11  2.423  28
50.73  1.800  9
53.30  1.719  12
64.50  1.445  15
66.26  1.411  17

Cell and atoms:
a b c (Å): 4.8453 7.1983 9.7549
angles (deg): 90.00 90.00 90.00
Fractional positions:
Dy 0.0000 0.0000 0.0000
Dy 0.0000 0.5000 0.5000
Ho 0.0000 0.0000 0.4199
Ho 0.0000 0.5000 0.9199
Ho 0.5000 0.0000 0.7392
Ho 0.5000 0.5000 0.2392
Ga 0.0000 0.2119 0.7044
Ga 0.0000 0.2881 0.2044
Ga 0.0000 0.7119 0.2044
Ga 0.0000 0.7881 0.7044
Ga 0.5000 0.0000 0.2190
Ga 0.5000 0.2388 0.4824
Ga 0.5000 0.2612 0.9824
Ga 0.5000 0.5000 0.7190
Ga 0.5000 0.7388 0.9824
Ga 0.5000 0.7612 0.4824

---

(8)
Structure and theoretical powder diffractogram of Na4CdGePd2 (the GGA-PBE geometry in OQMD; a wavelength of 1.5418 Å).
Peak positions follow from Bragg's law for the DFT cell and can differ from measured ones.

Top 8 peaks for 5° ≤ 2θ ≤ 70°, by angle:
two_theta  d/Å  I (rel.)
22.64  3.928  47
37.39  2.405  100
44.12  2.053  16
44.22  2.048  6
53.85  1.702  12
59.20  1.561  9
67.41  1.389  22
67.52  1.387  9

Cell and atoms:
a b c (Å): 4.8152 4.8152 6.7887
angles (deg): 90.00 90.00 90.00
Fractional positions:
Na 0.0000 0.0000 0.0000
Na 0.0000 0.5000 0.2435
Na 0.5000 0.0000 0.7565
Na 0.5000 0.5000 0.5000
Cd 0.0000 0.0000 0.5000
Ge 0.5000 0.5000 0.0000
Pd 0.0000 0.5000 0.7796
Pd 0.5000 0.0000 0.2204

---

(9)
Structure and theoretical powder diffractogram of Zr3Ni3As4Pd (the GGA-PBE geometry in OQMD; a wavelength of 1.5418 Å).
Peak positions follow from Bragg's law for the DFT cell and can differ from measured ones.

Top 8 peaks for 5° ≤ 2θ ≤ 70°, by angle:
two_theta  d/Å  I (rel.)
36.12  2.486  57
36.27  2.477  46
36.40  2.468  46
38.11  2.362  95
38.24  2.354  51
43.45  2.083  100
45.87  1.978  46
47.15  1.928  69

Cell and atoms:
a b c (Å): 6.5071 3.8552 7.4198
angles (deg): 90.00 90.42 90.00
Fractional positions:
Zr 0.0000 0.0000 0.0000
Zr 0.0556 0.5000 0.3712
Zr 0.5094 0.0000 0.8603
Ni 0.3954 0.0000 0.2362
Ni 0.6834 0.5000 0.1231
Ni 0.9067 0.0000 0.6199
As 0.3047 0.5000 0.0704
As 0.3108 0.0000 0.5434
As 0.7591 0.0000 0.3121
As 0.7830 0.5000 0.7857
Pd 0.1764 0.5000 0.7423